1.
Diffraction record for Sm2Dy2BBrCl4. The powder X-ray diffraction pattern is calculated, not measured: it uses the GGA-PBE geometry in OQMD and Cu Kα (λ = 1.5418 Å).
Intensities are scaled so that the largest is 1000.

Largest 10 diffraction maxima, by angle, 10 to 90 degrees two-theta:
2θ (°), I (rel.)
10.4, 614
11.2, 624
27.8, 285
28.5, 248
31.6, 791
31.8, 1000
45.1, 294
45.9, 322
46.6, 187
57.5, 183

Crystal structure
abc: 8.9753 8.9753 8.1374
angles: 104.29 104.29 25.07
Atoms (fractional coordinates):
Sm  0.1496  0.1496  0.0871
Sm  0.8504  0.8504  0.9129
Dy  0.4995  0.4995  0.2088
Dy  0.5005  0.5005  0.7912
B  0.0000  0.0000  0.0000
Br  0.0000  0.0000  0.5000
Cl  0.3322  0.3322  0.1555
Cl  0.3373  0.3373  0.6623
Cl  0.6627  0.6627  0.3377
Cl  0.6678  0.6678  0.8445

2.
Diffraction record for Cd2TcGeP4. The powder X-ray diffraction pattern is calculated, not measured: it uses the GGA-PBE geometry in OQMD and Cu Kα (λ = 1.5418 Å).
Intensities are scaled so that the largest is 1000.

Largest 10 diffraction maxima, by angle, 10 to 90 degrees two-theta:
2θ (°), I (rel.)
27.3, 1000
30.9, 168
32.9, 68
44.3, 189
45.7, 353
52.8, 298
55.3, 131
73.5, 108
82.6, 108
87.9, 67

Crystal structure
abc: 5.7831 5.7831 10.9013
angles: 90.00 90.00 90.00
Atoms (fractional coordinates):
Cd  0.0000  0.0000  0.0000
Cd  0.0000  0.5000  0.2500
Cd  0.5000  0.0000  0.7500
Cd  0.5000  0.5000  0.5000
Tc  0.0000  0.0000  0.5000
Tc  0.5000  0.5000  0.0000
Ge  0.0000  0.5000  0.7500
Ge  0.5000  0.0000  0.2500
P  0.2081  0.2432  0.6211
P  0.2432  0.7919  0.3789
P  0.2568  0.7081  0.8789
P  0.2919  0.2568  0.1211
P  0.7081  0.7432  0.1211
P  0.7432  0.2919  0.8789
P  0.7568  0.2081  0.3789
P  0.7919  0.7568  0.6211

3.
Diffraction record for RbCuSiSe2S. The powder X-ray diffraction pattern is calculated, not measured: it uses the GGA-PBE geometry in OQMD and Cu Kα (λ = 1.5418 Å).
Intensities are scaled so that the largest is 1000.

Largest 10 diffraction maxima, by angle, 10 to 90 degrees two-theta:
2θ (°), I (rel.)
11.6, 261
25.3, 427
29.5, 897
31.6, 1000
35.6, 521
37.0, 256
42.8, 463
50.3, 252
55.2, 436
56.5, 326

Crystal structure
abc: 7.8099 7.8099 10.0757
angles: 90.00 90.00 153.16
Atoms (fractional coordinates):
Rb  0.2365  0.7635  0.7500
Rb  0.7635  0.2365  0.2500
Cu  0.0465  0.9535  0.2500
Cu  0.9535  0.0465  0.7500
Si  0.5000  0.5000  0.0000
Si  0.5000  0.5000  0.5000
Se  0.1130  0.8870  0.0343
Se  0.1130  0.8870  0.4657
Se  0.8870  0.1130  0.5343
Se  0.8870  0.1130  0.9657
S  0.4557  0.5443  0.2500
S  0.5443  0.4557  0.7500

4.
Diffraction record for InFeGe. The powder X-ray diffraction pattern is calculated, not measured: it uses the GGA-PBE geometry in OQMD and Cu Kα (λ = 1.5418 Å).
Intensities are scaled so that the largest is 1000.

Largest 10 diffraction maxima, by angle, 10 to 90 degrees two-theta:
2θ (°), I (rel.)
29.9, 1000
31.7, 456
36.1, 522
38.6, 181
42.0, 204
44.2, 360
46.8, 840
47.2, 182
56.5, 154
64.6, 327

Crystal structure
abc: 8.8965 8.8965 8.8965
angles: 25.23 25.23 25.23
Atoms (fractional coordinates):
In  0.1222  0.1222  0.1222
In  0.8778  0.8778  0.8778
Fe  0.3942  0.3942  0.3942
Fe  0.6058  0.6058  0.6058
Ge  0.3001  0.3001  0.3001
Ge  0.6999  0.6999  0.6999

5.
Diffraction record for ErGaPdPt. The powder X-ray diffraction pattern is calculated, not measured: it uses the GGA-PBE geometry in OQMD and Cu Kα (λ = 1.5418 Å).
Intensities are scaled so that the largest is 1000.

Largest 10 diffraction maxima, by angle, 10 to 90 degrees two-theta:
2θ (°), I (rel.)
23.5, 273
30.8, 122
38.1, 1000
41.3, 721
57.4, 306
66.8, 113
73.1, 299
75.2, 123
76.8, 122
89.6, 82

Crystal structure
abc: 4.3769 4.3769 9.0487
angles: 90.00 90.00 120.00
Atoms (fractional coordinates):
Er  0.3333  0.6667  0.2463
Er  0.6667  0.3333  0.7537
Ga  0.0000  0.0000  0.0000
Ga  0.0000  0.0000  0.5000
Pd  0.3333  0.6667  0.5814
Pd  0.6667  0.3333  0.4186
Pt  0.3333  0.6667  0.9113
Pt  0.6667  0.3333  0.0887

6.
Diffraction record for PrNd2Sn3Pd3. The powder X-ray diffraction pattern is calculated, not measured: it uses the GGA-PBE geometry in OQMD and Cu Kα (λ = 1.5418 Å).
Intensities are scaled so that the largest is 1000.

Largest 10 diffraction maxima, by angle, 10 to 90 degrees two-theta:
2θ (°), I (rel.)
31.8, 1000
34.6, 991
35.8, 529
40.8, 323
42.1, 267
43.7, 292
54.6, 173
57.7, 272
61.3, 194
65.4, 324

Crystal structure
abc: 4.1447 7.6559 7.6559
angles: 120.00 90.00 90.00
Atoms (fractional coordinates):
Pr  0.0000  0.0000  0.0000
Nd  0.0000  0.4125  0.8247
Nd  0.0000  0.8247  0.4125
Sn  0.5000  0.1616  0.4135
Sn  0.5000  0.4135  0.1616
Sn  0.5000  0.6636  0.6636
Pd  0.0000  0.4135  0.4135
Pd  0.5000  0.0798  0.7450
Pd  0.5000  0.7450  0.0798